# 1
For Li2CdAg7Sb2, a PBE-relaxed structure gives the calculated powder X-ray diffraction pattern in this record (Cu Ka).

Principal peaks in the range 2θ = 10–80°, low angle first:
| 2theta | d (Å) | I (rel.) |
| --- | --- | --- |
| 21.2 | 4.189 | 26 |
| 29.3 | 3.044 | 23 |
| 33.0 | 2.714 | 37 |
| 36.4 | 2.468 | 59 |
| 36.5 | 2.460 | 80 |
| 36.6 | 2.452 | 79 |
| 40.7 | 2.215 | 100 |
| 43.2 | 2.095 | 38 |
| 43.8 | 2.069 | 51 |
| 74.6 | 1.272 | 37 |

abc: 4.1892 4.1892 13.2881
angles: 90.14 90.14 90.41
Atoms (fractional coordinates):
Li: 0.0002 0.0002 0.1859
Li: 0.9998 0.9998 0.8141
Cd: 0.5000 0.5000 0.5000
Ag: 0.0000 0.0000 0.5000
Ag: 0.9998 0.4998 0.3395
Ag: 0.0002 0.5002 0.6605
Ag: 0.2455 0.2455 0.9999
Ag: 0.4998 0.9998 0.3395
Ag: 0.5002 0.0002 0.6605
Ag: 0.7545 0.7545 0.0001
Sb: 0.4998 0.4998 0.1843
Sb: 0.5002 0.5002 0.8157

# 2
For Sr2Li3CdAg12, a PBE-relaxed structure gives the calculated powder X-ray diffraction pattern in this record (Cu Ka).

Principal peaks in the range 2θ = 10–80°, low angle first:
| 2theta | d (Å) | I (rel.) |
| --- | --- | --- |
| 16.3 | 5.454 | 24 |
| 19.1 | 4.658 | 28 |
| 27.9 | 3.199 | 27 |
| 31.7 | 2.820 | 29 |
| 32.8 | 2.727 | 100 |
| 35.4 | 2.538 | 35 |
| 36.9 | 2.434 | 20 |
| 38.7 | 2.329 | 45 |
| 50.2 | 1.818 | 24 |
| 54.6 | 1.682 | 32 |

abc: 11.0462 11.0462 11.0462
angles: 35.46 35.46 35.46
Atoms (fractional coordinates):
Sr: 0.1420 0.1420 0.1420
Sr: 0.8580 0.8580 0.8580
Li: 0.0000 0.5000 0.5000
Li: 0.5000 0.0000 0.5000
Li: 0.5000 0.5000 0.0000
Cd: 0.5000 0.5000 0.5000
Ag: 0.0931 0.0931 0.6846
Ag: 0.0931 0.6846 0.0931
Ag: 0.1246 0.5837 0.5837
Ag: 0.3154 0.9069 0.9069
Ag: 0.4163 0.4163 0.8754
Ag: 0.4163 0.8754 0.4163
Ag: 0.5837 0.1246 0.5837
Ag: 0.5837 0.5837 0.1246
Ag: 0.6846 0.0931 0.0931
Ag: 0.8754 0.4163 0.4163
Ag: 0.9069 0.3154 0.9069
Ag: 0.9069 0.9069 0.3154